1.
Diffraction record for Sc4Ge6Ir7. The X-ray diffraction stick pattern is calculated, not measured: it uses a crystal structure in the Materials Project, relaxed with PBE and Cu Kα (λ = 1.5418 Å).
Intensities are scaled so that the largest is 100.

Atomic structure:
```
data_Sc4Ge6Ir7
_cell_length_a 8.210
_cell_length_b 8.210
_cell_length_c 8.210
_cell_angle_alpha 90.00
_cell_angle_beta 90.00
_cell_angle_gamma 90.00
_space_group_name_H-M_alt 'I m -3 m'
_space_group_IT_number 229
_space_group_name_Hall '-I 4 2 3'
loop_
_atom_site_label
_atom_site_fract_x
_atom_site_fract_y
_atom_site_fract_z
Sc1 0.250 0.250 0.250
Ge1 0.000 0.000 0.312
Ir1 0.000 0.000 0.000
Ir2 0.000 0.250 0.500
```

Main lines, low angle first (5° ≤ 2θ ≤ 70°):
| (hkl) | d [Å] | Position (°2θ) | I (rel.) |
| --- | --- | --- | --- |
| 1 1 0 | 5.805 | 15.26 | 15 |
| 2 0 0 | 4.105 | 21.65 | 50 |
| 2 1 1 | 3.352 | 26.60 | 43 |
| 2 2 2 | 2.370 | 37.97 | 100 |
| 3 2 1 | 2.194 | 41.14 | 67 |
| 4 0 0 | 2.052 | 44.12 | 77 |
| 3 3 2 | 1.750 | 52.26 | 31 |
| 4 4 0 | 1.451 | 64.17 | 42 |



2.
Diffraction record for Sm2Ge5Ir3. The X-ray diffraction stick pattern is calculated, not measured: it uses a crystal structure in the Materials Project, relaxed with PBE and Cu Kα (λ = 1.5418 Å).
Intensities are scaled so that the largest is 100.

Atomic structure:
```
data_Sm2Ge5Ir3
_cell_length_a 10.289
_cell_length_b 11.924
_cell_length_c 6.094
_cell_angle_alpha 90.00
_cell_angle_beta 90.00
_cell_angle_gamma 90.00
_space_group_name_H-M_alt 'I b a m'
_space_group_IT_number 72
_space_group_name_Hall '-I 2 2c'
loop_
_atom_site_label
_atom_site_fract_x
_atom_site_fract_y
_atom_site_fract_z
Sm1 0.228 0.133 0.000
Ge1 0.000 0.000 0.250
Ge2 0.000 0.276 0.250
Ge3 0.161 0.401 0.000
Ir1 0.000 0.500 0.250
Ir2 0.110 0.142 0.500
```

Main lines, low angle first (5° ≤ 2θ ≤ 70°):
| (hkl) | d [Å] | Position (°2θ) | I (rel.) |
| --- | --- | --- | --- |
| 1 3 0 | 3.708 | 24.00 | 30 |
| 1 1 2 | 2.838 | 31.53 | 25 |
| 3 2 1 | 2.672 | 33.54 | 100 |
| 2 0 2 | 2.622 | 34.20 | 62 |
| 2 4 0 | 2.579 | 34.79 | 55 |
| 0 4 2 | 2.131 | 42.42 | 92 |
| 3 2 3 | 1.677 | 54.73 | 25 |
| 0 0 4 | 1.524 | 60.78 | 24 |



3.
Diffraction record for Sm4Ge9Ir13. The X-ray diffraction stick pattern is calculated, not measured: it uses a crystal structure in the Materials Project, relaxed with PBE and Cu Kα (λ = 1.5418 Å).
Intensities are scaled so that the largest is 100.

Atomic structure:
```
data_Sm4Ge9Ir13
_cell_length_a 4.046
_cell_length_b 11.345
_cell_length_c 19.615
_cell_angle_alpha 90.00
_cell_angle_beta 90.00
_cell_angle_gamma 90.00
_space_group_name_H-M_alt 'P m m n'
_space_group_IT_number 59
loop_
_space_group_symop_operation_xyz
'x,y,z'
'-x,-y,-z'
'-x+1/2,-y+1/2,z'
'x+1/2,y+1/2,-z'
'x+1/2,-y,-z'
'-x+1/2,y,z'
'-x,y+1/2,-z'
'x,-y+1/2,z'
loop_
_atom_site_label
_atom_site_fract_x
_atom_site_fract_y
_atom_site_fract_z
Sm1 0.250 0.059 0.208
Sm2 0.250 0.250 0.022
Sm3 0.250 0.750 0.520
Ge1 0.250 0.069 0.415
Ge2 0.250 0.121 0.730
Ge3 0.250 0.250 0.601
Ge4 0.250 0.562 0.919
Ge5 0.250 0.750 0.101
Ge6 0.250 0.750 0.733
Ir1 0.250 0.058 0.540
Ir2 0.250 0.127 0.858
Ir3 0.250 0.250 0.343
Ir4 0.250 0.549 0.047
Ir5 0.250 0.567 0.663
Ir6 0.250 0.623 0.355
Ir7 0.250 0.750 0.227
Ir8 0.250 0.750 0.858
```

Main lines, low angle first (5° ≤ 2θ ≤ 70°):
| (hkl) | d [Å] | Position (°2θ) | I (rel.) |
| --- | --- | --- | --- |
| 1 0 6 | 2.544 | 35.28 | 100 |
| 1 1 7 | 2.259 | 39.91 | 11 |
| 0 5 1 | 2.252 | 40.03 | 16 |
| 2 0 0 | 2.023 | 44.80 | 25 |
| 1 2 8 | 1.968 | 46.13 | 24 |
| 0 5 5 | 1.963 | 46.24 | 11 |
| 0 6 0 | 1.889 | 48.17 | 19 |
| 2 6 0 | 1.381 | 67.88 | 13 |



4.
Diffraction record for Sm2Ge3Ir3. The X-ray diffraction stick pattern is calculated, not measured: it uses a crystal structure in the Materials Project, relaxed with PBE and Cu Kα (λ = 1.5418 Å).
Intensities are scaled so that the largest is 100.

Atomic structure:
```
data_Sm2Ge3Ir3
_cell_length_a 2.841
_cell_length_b 2.841
_cell_length_c 21.138
_cell_angle_alpha 90.00
_cell_angle_beta 90.00
_cell_angle_gamma 90.00
_space_group_name_H-M_alt 'P 4/m m m'
_space_group_IT_number 123
_space_group_name_Hall '-P 4 2'
loop_
_atom_site_label
_atom_site_fract_x
_atom_site_fract_y
_atom_site_fract_z
Sm1 0.000 0.000 0.238
Ge1 0.000 0.000 0.000
Ge2 0.000 0.000 0.387
Ir1 0.000 0.000 0.113
Ir2 0.000 0.000 0.500
```

Main lines, low angle first (5° ≤ 2θ ≤ 70°):
| (hkl) | d [Å] | Position (°2θ) | I (rel.) |
| --- | --- | --- | --- |
| 0 0 3 | 7.046 | 12.56 | 32 |
| 1 0 0 | 2.841 | 31.49 | 100 |
| 0 0 8 | 2.640 | 33.96 | 43 |
| 1 1 0 | 2.009 | 45.13 | 37 |
| 1 0 8 | 1.935 | 46.97 | 55 |
| 1 0 10 | 1.696 | 54.08 | 6 |
| 1 1 8 | 1.599 | 57.64 | 27 |
| 2 0 0 | 1.421 | 65.73 | 12 |



5.
Diffraction record for SmGeIr. The X-ray diffraction stick pattern is calculated, not measured: it uses a crystal structure in the Materials Project, relaxed with PBE and Cu Kα (λ = 1.5418 Å).
Intensities are scaled so that the largest is 100.

Atomic structure:
```
data_SmGeIr
_cell_length_a 7.027
_cell_length_b 4.387
_cell_length_c 7.681
_cell_angle_alpha 90.00
_cell_angle_beta 90.00
_cell_angle_gamma 90.00
_space_group_name_H-M_alt 'P n m a'
_space_group_IT_number 62
loop_
_space_group_symop_operation_xyz
'x,y,z'
'-x,-y,-z'
'-x+1/2,-y,z+1/2'
'x+1/2,y,-z+1/2'
'x+1/2,-y+1/2,-z+1/2'
'-x+1/2,y+1/2,z+1/2'
'-x,y+1/2,-z'
'x,-y+1/2,z'
loop_
_atom_site_label
_atom_site_fract_x
_atom_site_fract_y
_atom_site_fract_z
Sm1 0.001 0.250 0.192
Ge1 0.203 0.750 0.392
Ir1 0.160 0.250 0.567
```

Main lines, low angle first (5° ≤ 2θ ≤ 70°):
| (hkl) | d [Å] | Position (°2θ) | I (rel.) |
| --- | --- | --- | --- |
| 1 1 2 | 2.673 | 33.53 | 96 |
| 2 0 2 | 2.592 | 34.60 | 36 |
| 2 1 1 | 2.583 | 34.73 | 100 |
| 3 0 1 | 2.241 | 40.25 | 55 |
| 0 1 3 | 2.211 | 40.81 | 72 |
| 0 2 0 | 2.194 | 41.15 | 60 |
| 3 2 1 | 1.567 | 58.92 | 36 |
| 3 1 4 | 1.407 | 66.46 | 52 |



6.
Diffraction record for Sm3Ge13Ir4. The X-ray diffraction stick pattern is calculated, not measured: it uses a crystal structure in the Materials Project, relaxed with PBE and Cu Kα (λ = 1.5418 Å).
Intensities are scaled so that the largest is 100.

Atomic structure:
```
data_Sm3Ge13Ir4
_cell_length_a 9.108
_cell_length_b 9.108
_cell_length_c 9.108
_cell_angle_alpha 90.00
_cell_angle_beta 90.00
_cell_angle_gamma 90.00
_space_group_name_H-M_alt 'P m -3 n'
_space_group_IT_number 223
_space_group_name_Hall '-P 4n 2 3'
loop_
_atom_site_label
_atom_site_fract_x
_atom_site_fract_y
_atom_site_fract_z
Sm1 0.000 0.250 0.500
Ge1 0.000 0.000 0.000
Ge2 0.000 0.308 0.146
Ir1 0.250 0.250 0.250
```

Main lines, low angle first (5° ≤ 2θ ≤ 70°):
| (hkl) | d [Å] | Position (°2θ) | I (rel.) |
| --- | --- | --- | --- |
| 2 0 0 | 4.554 | 19.49 | 51 |
| 2 2 2 | 2.629 | 34.10 | 54 |
| 3 2 0 | 2.526 | 35.54 | 100 |
| 3 2 1 | 2.434 | 36.93 | 40 |
| 4 0 0 | 2.277 | 39.58 | 56 |
| 4 2 0 | 2.037 | 44.49 | 43 |
| 4 2 2 | 1.859 | 49.00 | 56 |
| 6 2 2 | 1.373 | 68.32 | 40 |



7.
Diffraction record for SmGe2Ir. The X-ray diffraction stick pattern is calculated, not measured: it uses a crystal structure in the Materials Project, relaxed with PBE and Cu Kα (λ = 1.5418 Å).
Intensities are scaled so that the largest is 100.

Atomic structure:
```
data_SmGe2Ir
_cell_length_a 4.349
_cell_length_b 8.993
_cell_length_c 16.249
_cell_angle_alpha 90.00
_cell_angle_beta 90.00
_cell_angle_gamma 90.00
_space_group_name_H-M_alt 'I m m m'
_space_group_IT_number 71
_space_group_name_Hall '-I 2 2'
loop_
_atom_site_label
_atom_site_fract_x
_atom_site_fract_y
_atom_site_fract_z
Sm1 0.000 0.000 0.206
Sm2 0.000 0.240 0.000
Ge1 0.000 0.000 0.422
Ge2 0.000 0.347 0.200
Ge3 0.000 0.500 0.423
Ir1 0.000 0.249 0.354
```

Main lines, low angle first (5° ≤ 2θ ≤ 70°):
| (hkl) | d [Å] | Position (°2θ) | I (rel.) |
| --- | --- | --- | --- |
| 0 2 0 | 4.497 | 19.74 | 19 |
| 1 2 3 | 2.708 | 33.09 | 100 |
| 1 0 5 | 2.603 | 34.45 | 45 |
| 0 2 6 | 2.320 | 38.82 | 29 |
| 0 4 0 | 2.248 | 40.11 | 21 |
| 2 0 0 | 2.175 | 41.53 | 35 |
| 1 4 3 | 1.874 | 48.59 | 20 |
| 2 2 6 | 1.587 | 58.14 | 18 |



8.
Diffraction record for SrGe3Ir. The X-ray diffraction stick pattern is calculated, not measured: it uses a crystal structure in the Materials Project, relaxed with PBE and Cu Kα (λ = 1.5418 Å).
Intensities are scaled so that the largest is 100.

Atomic structure:
```
data_SrGe3Ir
_cell_length_a 4.524
_cell_length_b 4.524
_cell_length_c 10.215
_cell_angle_alpha 90.00
_cell_angle_beta 90.00
_cell_angle_gamma 90.00
_space_group_name_H-M_alt 'I 4 m m'
_space_group_IT_number 107
_space_group_name_Hall 'I 4 -2'
loop_
_atom_site_label
_atom_site_fract_x
_atom_site_fract_y
_atom_site_fract_z
Sr1 0.000 0.000 0.000
Ge1 0.000 0.000 0.412
Ge2 0.000 0.500 0.253
Ir1 0.000 0.000 0.650
```

Main lines, low angle first (5° ≤ 2θ ≤ 70°):
| (hkl) | d [Å] | Position (°2θ) | I (rel.) |
| --- | --- | --- | --- |
| 1 0 1 | 4.136 | 21.48 | 78 |
| 1 1 0 | 3.199 | 27.89 | 41 |
| 1 0 3 | 2.721 | 32.92 | 100 |
| 1 1 2 | 2.711 | 33.04 | 80 |
| 2 0 0 | 2.262 | 39.86 | 100 |
| 1 1 4 | 1.996 | 45.45 | 55 |
| 2 1 3 | 1.739 | 52.62 | 53 |
| 2 2 0 | 1.599 | 57.63 | 34 |



9.
Diffraction record for Tb5Ge10Ir4. The X-ray diffraction stick pattern is calculated, not measured: it uses a crystal structure in the Materials Project, relaxed with PBE and Cu Kα (λ = 1.5418 Å).
Intensities are scaled so that the largest is 100.

Atomic structure:
```
data_Tb5Ge10Ir4
_cell_length_a 13.048
_cell_length_b 13.048
_cell_length_c 4.366
_cell_angle_alpha 90.00
_cell_angle_beta 90.00
_cell_angle_gamma 90.00
_space_group_name_H-M_alt 'P 4/m b m'
_space_group_IT_number 127
_space_group_name_Hall '-P 4 2ab'
loop_
_atom_site_label
_atom_site_fract_x
_atom_site_fract_y
_atom_site_fract_z
Tb1 0.000 0.000 0.000
Tb2 0.116 0.384 0.500
Tb3 0.175 0.675 0.500
Ge1 0.008 0.843 0.500
Ge2 0.067 0.567 0.000
Ge3 0.163 0.200 0.000
Ir1 0.022 0.754 0.000
```

Main lines, low angle first (5° ≤ 2θ ≤ 70°):
| (hkl) | d [Å] | Position (°2θ) | I (rel.) |
| --- | --- | --- | --- |
| 3 2 1 | 2.786 | 32.13 | 28 |
| 4 0 1 | 2.613 | 34.32 | 100 |
| 5 1 0 | 2.561 | 35.04 | 65 |
| 3 3 1 | 2.514 | 35.71 | 71 |
| 0 0 2 | 2.183 | 41.36 | 58 |
| 6 1 0 | 2.145 | 42.13 | 25 |
| 5 4 0 | 2.038 | 44.44 | 33 |
| 8 4 1 | 1.384 | 67.71 | 25 |



10.
Diffraction record for Th2Ge3Ir3. The X-ray diffraction stick pattern is calculated, not measured: it uses a crystal structure in the Materials Project, relaxed with PBE and Cu Kα (λ = 1.5418 Å).
Intensities are scaled so that the largest is 100.

Atomic structure:
```
data_Th2Ge3Ir3
_cell_length_a 2.945
_cell_length_b 2.945
_cell_length_c 21.060
_cell_angle_alpha 90.00
_cell_angle_beta 90.00
_cell_angle_gamma 90.00
_space_group_name_H-M_alt 'P 4/m m m'
_space_group_IT_number 123
_space_group_name_Hall '-P 4 2'
loop_
_atom_site_label
_atom_site_fract_x
_atom_site_fract_y
_atom_site_fract_z
Th1 0.000 0.000 0.238
Ge1 0.000 0.000 0.000
Ge2 0.000 0.000 0.388
Ir1 0.000 0.000 0.118
Ir2 0.000 0.000 0.500
```

Main lines, low angle first (5° ≤ 2θ ≤ 70°):
| (hkl) | d [Å] | Position (°2θ) | I (rel.) |
| --- | --- | --- | --- |
| 0 0 3 | 7.020 | 12.61 | 33 |
| 1 0 0 | 2.945 | 30.35 | 100 |
| 1 0 3 | 2.716 | 32.98 | 14 |
| 0 0 8 | 2.633 | 34.06 | 29 |
| 1 1 0 | 2.083 | 43.45 | 38 |
| 1 0 8 | 1.963 | 46.25 | 50 |
| 1 1 8 | 1.633 | 56.33 | 28 |
| 2 0 0 | 1.473 | 63.13 | 13 |